No. 1
Simulated powder diffraction line list of Ti4InBi for Cu Kα (weighted mean of Kα1 and Kα2), from a cell relaxed with PBE.
Lines closer than 0.1° are merged.

Main lines, sorted by position (10 to 90 degrees two-theta):
d [Å], I/Imax
4.654, 41
3.355, 47
3.198, 41
2.473, 100
2.349, 85
2.293, 80
2.184, 25
1.798, 19
1.695, 17
1.314, 25

Atomic structure:
Cell lengths 4.9583, 9.3074, 4.9475 Å; angles 90.00, 93.14, 90.00 degrees
Positions (direct):
Ti (0.0000, 0.1722, 0.0000)
Ti (0.0000, 0.3245, 0.5000)
Ti (0.0000, 0.6755, 0.5000)
Ti (0.0000, 0.8278, 0.0000)
Ti (0.5000, 0.1755, 0.5000)
Ti (0.5000, 0.3278, 0.0000)
Ti (0.5000, 0.6722, 0.0000)
Ti (0.5000, 0.8245, 0.5000)
In (0.0000, 0.0000, 0.5000)
In (0.5000, 0.5000, 0.5000)
Bi (0.0000, 0.5000, 0.0000)
Bi (0.5000, 0.0000, 0.0000)


No. 2
Simulated powder diffraction line list of Tl16In12Bi for Cu Kα (weighted mean of Kα1 and Kα2), from a cell relaxed with PBE.
Lines closer than 0.1° are merged.

Main lines, sorted by position (10 to 90 degrees two-theta):
d [Å], I/Imax
2.847, 100
2.838, 45
2.830, 34
2.814, 47
2.803, 39
2.570, 11
2.561, 21
2.461, 12
1.644, 18
1.641, 16

Atomic structure:
Cell lengths 10.4159, 10.4159, 10.3495 Å; angles 108.89, 108.89, 110.48 degrees
Positions (direct):
Tl (0.0000, 0.0000, 0.0000)
Tl (0.0007, 0.3986, 0.0351)
Tl (0.0036, 0.0036, 0.3543)
Tl (0.0052, 0.6421, 0.3577)
Tl (0.2811, 0.6012, 0.9548)
Tl (0.3149, 0.3149, 0.0686)
Tl (0.3219, 0.7161, 0.6741)
Tl (0.3578, 0.3578, 0.7143)
Tl (0.3986, 0.0007, 0.0351)
Tl (0.4013, 0.6818, 0.3535)
Tl (0.6012, 0.2811, 0.9548)
Tl (0.6421, 0.0052, 0.3577)
Tl (0.6818, 0.4013, 0.3535)
Tl (0.6824, 0.9992, 0.7501)
Tl (0.7161, 0.3219, 0.6741)
Tl (0.9992, 0.6824, 0.7501)
In (0.0000, 0.3708, 0.5415)
In (0.1839, 0.8136, 0.1661)
In (0.1845, 0.9987, 0.7210)
In (0.1922, 0.3702, 0.3572)
In (0.3702, 0.1922, 0.3572)
In (0.3708, 0.0000, 0.5415)
In (0.6252, 0.6252, 0.1666)
In (0.6336, 0.8220, 0.9895)
In (0.8079, 0.8079, 0.5280)
In (0.8136, 0.1839, 0.1661)
In (0.8220, 0.6336, 0.9895)
In (0.9987, 0.1845, 0.7210)
Bi (0.6083, 0.6083, 0.6513)


No. 3
Simulated powder diffraction line list of Tl3In8Bi4 for Cu Kα (weighted mean of Kα1 and Kα2), from a cell relaxed with PBE.
Lines closer than 0.1° are merged.

Main lines, sorted by position (10 to 90 degrees two-theta):
d [Å], I/Imax
3.906, 17
3.189, 9
3.007, 44
2.762, 100
2.356, 17
1.953, 9
1.841, 11
1.595, 21
1.504, 10
1.321, 12

Atomic structure:
Cell lengths 11.0487, 11.0487, 11.0487 Å; angles 60.00, 60.00, 60.00 degrees
Positions (direct):
Tl (0.2069, 0.2069, 0.7931)
Tl (0.2069, 0.7931, 0.2069)
Tl (0.2069, 0.7931, 0.7931)
Tl (0.7931, 0.2069, 0.2069)
Tl (0.7931, 0.2069, 0.7931)
Tl (0.7931, 0.7931, 0.2069)
In (0.1422, 0.6193, 0.6193)
In (0.1716, 0.1716, 0.1716)
In (0.1716, 0.1716, 0.4853)
In (0.1716, 0.4853, 0.1716)
In (0.3807, 0.3807, 0.3807)
In (0.3807, 0.3807, 0.8578)
In (0.3807, 0.8578, 0.3807)
In (0.4853, 0.1716, 0.1716)
In (0.5147, 0.8284, 0.8284)
In (0.6193, 0.1422, 0.6193)
In (0.6193, 0.6193, 0.1422)
In (0.6193, 0.6193, 0.6193)
In (0.8284, 0.5147, 0.8284)
In (0.8284, 0.8284, 0.5147)
In (0.8284, 0.8284, 0.8284)
In (0.8578, 0.3807, 0.3807)
Bi (0.0000, 0.0000, 0.0000)
Bi (0.0000, 0.0000, 0.5000)
Bi (0.0000, 0.5000, 0.0000)
Bi (0.0000, 0.5000, 0.5000)
Bi (0.5000, 0.0000, 0.0000)
Bi (0.5000, 0.0000, 0.5000)
Bi (0.5000, 0.5000, 0.0000)
Bi (0.5000, 0.5000, 0.5000)


No. 4
Simulated powder diffraction line list of Tl12In7Bi for Cu Kα (weighted mean of Kα1 and Kα2), from a cell relaxed with PBE.
Lines closer than 0.1° are merged.

Main lines, sorted by position (10 to 90 degrees two-theta):
d [Å], I/Imax
3.156, 40
3.142, 20
3.068, 46
2.863, 78
2.816, 100
2.779, 50
2.605, 76
2.557, 51
2.547, 56
1.527, 19

Atomic structure:
Cell lengths 6.4060, 9.3934, 10.6600 Å; angles 78.79, 83.74, 79.09 degrees
Positions (direct):
Tl (0.0031, 0.2090, 0.4593)
Tl (0.1193, 0.5733, 0.3000)
Tl (0.1738, 0.9320, 0.2338)
Tl (0.3224, 0.1781, 0.8941)
Tl (0.3463, 0.9596, 0.6411)
Tl (0.4365, 0.3138, 0.5547)
Tl (0.5635, 0.6862, 0.4453)
Tl (0.6537, 0.0404, 0.3589)
Tl (0.6776, 0.8219, 0.1059)
Tl (0.8262, 0.0680, 0.7662)
Tl (0.8807, 0.4267, 0.7000)
Tl (0.9969, 0.7910, 0.5407)
In (0.1870, 0.8241, 0.9529)
In (0.2970, 0.2520, 0.1939)
In (0.3277, 0.5685, 0.7306)
In (0.5000, 0.5000, 0.0000)
In (0.6723, 0.4315, 0.2694)
In (0.7030, 0.7480, 0.8061)
In (0.8130, 0.1759, 0.0471)
Bi (0.0000, 0.5000, 0.0000)


No. 5
Simulated powder diffraction line list of Tl8In2Bi for Cu Kα (weighted mean of Kα1 and Kα2), from a cell relaxed with PBE.
Lines closer than 0.1° are merged.

Main lines, sorted by position (10 to 90 degrees two-theta):
d [Å], I/Imax
2.981, 16
2.763, 100
2.701, 27
2.656, 31
2.019, 8
1.894, 23
1.608, 10
1.571, 19
1.554, 13
1.381, 8

Atomic structure:
Cell lengths 9.3352, 9.3352, 9.3352 Å; angles 146.36, 128.74, 62.72 degrees
Positions (direct):
Tl (0.1175, 0.3419, 0.7756)
Tl (0.1541, 0.1541, 0.0000)
Tl (0.2927, 0.0000, 0.2927)
Tl (0.4338, 0.6581, 0.7756)
Tl (0.5662, 0.3419, 0.2244)
Tl (0.7073, 0.0000, 0.7073)
Tl (0.8459, 0.8459, 0.0000)
Tl (0.8825, 0.6581, 0.2244)
In (0.3148, 0.8148, 0.5000)
In (0.6852, 0.1852, 0.5000)
Bi (0.0000, 0.5000, 0.5000)


No. 6
Simulated powder diffraction line list of Tl6In8Bi for Cu Kα (weighted mean of Kα1 and Kα2), from a cell relaxed with PBE.
Lines closer than 0.1° are merged.

Main lines, sorted by position (10 to 90 degrees two-theta):
d [Å], I/Imax
3.352, 19
2.996, 46
2.919, 26
2.704, 100
2.589, 35
2.168, 11
1.747, 10
1.730, 16
1.716, 9
1.516, 12

Atomic structure:
Cell lengths 6.2799, 9.1447, 9.1558 Å; angles 60.06, 89.99, 89.98 degrees
Positions (direct):
Tl (0.1627, 0.0554, 0.1087)
Tl (0.1627, 0.6084, 0.3359)
Tl (0.1629, 0.8359, 0.5554)
Tl (0.8371, 0.1641, 0.4446)
Tl (0.8373, 0.3916, 0.6641)
Tl (0.8373, 0.9446, 0.8913)
In (0.3184, 0.1664, 0.6666)
In (0.3377, 0.2761, 0.2875)
In (0.3377, 0.4363, 0.7761)
In (0.3378, 0.7872, 0.9366)
In (0.6622, 0.2128, 0.0634)
In (0.6623, 0.5637, 0.2239)
In (0.6623, 0.7239, 0.7125)
In (0.6816, 0.8336, 0.3334)
Bi (0.0000, 0.5000, 0.0000)


No. 7
Simulated powder diffraction line list of TlIn12Bi3 for Cu Kα (weighted mean of Kα1 and Kα2), from a cell relaxed with PBE.
Lines closer than 0.1° are merged.

Main lines, sorted by position (10 to 90 degrees two-theta):
d [Å], I/Imax
2.792, 100
2.570, 40
2.181, 12
1.817, 14
1.663, 21
1.523, 31
1.396, 12
1.350, 10
1.167, 7
1.149, 6

Atomic structure:
Cell lengths 5.1397, 5.1397, 17.4494 Å; angles 90.00, 90.00, 90.00 degrees
Positions (direct):
Tl (0.0000, 0.0000, 0.0000)
In (0.0000, 0.5000, 0.1241)
In (0.0000, 0.5000, 0.3740)
In (0.0000, 0.5000, 0.6260)
In (0.0000, 0.5000, 0.8759)
In (0.5000, 0.0000, 0.1241)
In (0.5000, 0.0000, 0.3740)
In (0.5000, 0.0000, 0.6260)
In (0.5000, 0.0000, 0.8759)
In (0.5000, 0.5000, 0.0000)
In (0.5000, 0.5000, 0.2531)
In (0.5000, 0.5000, 0.5000)
In (0.5000, 0.5000, 0.7469)
Bi (0.0000, 0.0000, 0.2449)
Bi (0.0000, 0.0000, 0.5000)
Bi (0.0000, 0.0000, 0.7551)


No. 8
Simulated powder diffraction line list of Tl2In8Bi for Cu Kα (weighted mean of Kα1 and Kα2), from a cell relaxed with PBE.
Lines closer than 0.1° are merged.

Main lines, sorted by position (10 to 90 degrees two-theta):
d [Å], I/Imax
4.607, 11
3.415, 12
2.743, 100
2.543, 19
2.304, 32
1.707, 22
1.629, 11
1.504, 11
1.401, 25
1.372, 10

Atomic structure:
Cell lengths 4.6074, 4.6074, 15.2579 Å; angles 90.00, 90.00, 90.00 degrees
Positions (direct):
Tl (0.0000, 0.0000, 0.1683)
Tl (0.0000, 0.0000, 0.8317)
In (0.0000, 0.5000, 0.0000)
In (0.0000, 0.5000, 0.3472)
In (0.0000, 0.5000, 0.6528)
In (0.5000, 0.0000, 0.0000)
In (0.5000, 0.0000, 0.3472)
In (0.5000, 0.0000, 0.6528)
In (0.5000, 0.5000, 0.1889)
In (0.5000, 0.5000, 0.8111)
Bi (0.0000, 0.0000, 0.5000)